(1)
For Ac3Ga3Hg2, the GGA-PBE geometry in Alexandria gives the computed X-ray diffraction stick pattern in this record (Cu Ka).
No peak broadening, texture or thermal motion is included.

Top 10 peaks for 2θ from 10° to 90°, in order of rising 2θ:
| index | 2θ (°) | I (rel.) |
| --- | --- | --- |
| 1 1 0 | 21.1 | 16 |
| 3 1 1 | 32.1 | 100 |
| 2 0 -2 | 32.9 | 25 |
| 8 0 0 | 36.2 | 14 |
| 0 2 0 | 41.9 | 13 |
| 6 0 2 | 49.7 | 6 |
| 2 2 -2 | 54.3 | 12 |
| 8 2 0 | 56.6 | 8 |
| 1 1 3 | 58.2 | 9 |
| 7 1 -3 | 58.3 | 9 |

Atomic structure:
Cell: 20.5360 4.3085 5.4387 Å, 90.00 105.11 90.00°
Space group C2/m (No. 12)
Asymmetric unit:
Ac (0.0000, 0.0000, 0.0000)
Ac (0.1369, 0.0000, 0.6346)
Ga (0.0000, 0.5000, 0.5000)
Ga (0.1289, 0.5000, 0.1267)
Hg (0.2338, 0.0000, 0.2312)



(2)
For LiPuBeP2, the GGA-PBE geometry in Alexandria gives the computed X-ray diffraction stick pattern in this record (Cu Ka).
No peak broadening, texture or thermal motion is included.

Top 10 peaks for 2θ from 10° to 90°, in order of rising 2θ:
| index | 2θ (°) | I (rel.) |
| --- | --- | --- |
| 0 0 1 | 11.1 | 73 |
| 2 0 -1 | 16.9 | 32 |
| 2 0 0 | 19.7 | 100 |
| 1 1 0 | 25.2 | 74 |
| 1 1 -1 | 25.4 | 28 |
| 1 1 -2 | 30.1 | 29 |
| 3 1 -1 | 34.8 | 39 |
| 1 1 -3 | 37.9 | 56 |
| 3 1 0 | 38.0 | 37 |
| 3 1 -3 | 39.2 | 46 |

Atomic structure:
Cell: 10.5311 3.8503 9.3508 Å, 90.00 121.12 90.00°
Space group C2/m (No. 12)
Asymmetric unit:
Li (0.1523, 0.0000, 0.0928)
Pu (0.0158, 0.0000, 0.6774)
Be (0.1999, 0.5000, 0.3548)
P (0.0236, 0.5000, 0.8922)
P (0.1827, 0.5000, 0.5939)



(3)
For KInPb, the GGA-PBE geometry in Alexandria gives the computed X-ray diffraction stick pattern in this record (Cu Ka).
No peak broadening, texture or thermal motion is included.

Top 10 peaks for 2θ from 10° to 90°, in order of rising 2θ:
| index | 2θ (°) | I (rel.) |
| --- | --- | --- |
| 0 0 1 | 11.7 | 61 |
| 1 0 -1 | 13.2 | 100 |
| 0 1 -1 | 13.4 | 58 |
| 1 0 0 | 13.6 | 53 |
| 1 2 -2 | 28.3 | 56 |
| 1 -1 2 | 29.7 | 47 |
| 0 2 1 | 31.5 | 55 |
| -2 2 1 | 32.8 | 61 |
| 2 1 0 | 33.1 | 70 |
| 2 0 -3 | 33.4 | 45 |

Atomic structure:
Cell: 7.4090 7.7867 8.9592 Å, 107.54 113.78 96.56°
Space group P1 (No. 1)
Asymmetric unit:
K (0.0000, 0.0000, 0.0000)
K (0.0443, 0.1855, 0.6166)
K (0.3262, 0.8594, 0.4431)
K (0.7553, 0.4513, 0.8378)
In (0.2963, 0.6654, 0.8175)
In (0.3318, 0.4092, 0.4531)
In (0.3504, 0.4629, 0.1069)
In (0.5574, 0.1720, 0.3073)
Pb (0.4799, 0.0912, 0.9236)
Pb (0.7172, 0.8079, 0.2067)
Pb (0.7737, 0.6515, 0.5289)
Pb (0.8787, 0.4153, 0.2415)



(4)
For Fe3B, the GGA-PBE geometry in Alexandria gives the computed X-ray diffraction stick pattern in this record (Cu Ka).
No peak broadening, texture or thermal motion is included.

Top 10 peaks for 2θ from 10° to 90°, in order of rising 2θ:
| index | 2θ (°) | I (rel.) |
| --- | --- | --- |
| 1 1 0 | 38.3 | 20 |
| 0 0 2 | 41.2 | 26 |
| 1 1 1 | 43.7 | 100 |
| 1 1 2 | 57.5 | 16 |
| 2 1 1 | 64.1 | 5 |
| 3 0 0 | 69.2 | 14 |
| 1 1 3 | 76.9 | 16 |
| 3 0 2 | 83.9 | 14 |
| 2 2 1 | 85.5 | 10 |
| 0 0 4 | 89.5 | 3 |

Atomic structure:
Cell: 4.7018 4.7018 4.3801 Å, 90.00 90.00 120.00°
Space group P6_322 (No. 182)
Asymmetric unit:
Fe (0.0000, 0.3063, 0.0000)
B (0.3333, 0.6667, 0.7500)



(5)
For LiAg7Pd2, the GGA-PBE geometry in Alexandria gives the computed X-ray diffraction stick pattern in this record (Cu Ka).
No peak broadening, texture or thermal motion is included.

Top 10 peaks for 2θ from 10° to 90°, in order of rising 2θ:
| index | 2θ (°) | I (rel.) |
| --- | --- | --- |
| 0 0 1 | 19.6 | 98 |
| 2 0 0 | 23.8 | 29 |
| 2 2 0 | 27.3 | 26 |
| 2 4 0 | 36.1 | 38 |
| 0 0 2 | 39.7 | 53 |
| 1 5 1 | 41.1 | 100 |
| 2 4 1 | 41.4 | 32 |
| 3 1 1 | 41.9 | 60 |
| 3 3 1 | 46.3 | 25 |
| 5 5 1 | 75.9 | 26 |

Atomic structure:
Cell: 7.4830 13.3037 4.5390 Å, 90.00 90.00 90.00°
Space group Cmmm (No. 65)
Asymmetric unit:
Li (0.0000, 0.0000, 0.0000)
Ag (0.0000, 0.1967, 0.0000)
Ag (0.0000, 0.5000, 0.5000)
Ag (0.1832, 0.1089, 0.5000)
Pd (0.0000, 0.2962, 0.5000)



(6)
For La5Nd8Pb, the GGA-PBE geometry in Alexandria gives the computed X-ray diffraction stick pattern in this record (Cu Ka).
No peak broadening, texture or thermal motion is included.

Top 10 peaks for 2θ from 10° to 90°, in order of rising 2θ:
| index | 2θ (°) | I (rel.) |
| --- | --- | --- |
| 0 1 -2 | 27.8 | 69 |
| 2 2 2 | 30.3 | 72 |
| 0 3 1 | 31.6 | 100 |
| 1 2 -1 | 31.7 | 94 |
| 2 -1 1 | 31.8 | 98 |
| 1 -3 2 | 49.2 | 38 |
| 2 4 5 | 54.4 | 20 |
| 0 5 4 | 58.5 | 21 |
| 3 -1 4 | 58.9 | 21 |
| 1 -1 5 | 59.6 | 24 |

Atomic structure:
Cell: 6.9414 8.7546 9.5250 Å, 64.80 71.35 76.25°
Space group P1 (No. 1)
Asymmetric unit:
La (0.0000, 0.0000, 0.0000)
La (0.0604, 0.3741, 0.0277)
La (0.2334, 0.9483, 0.3296)
La (0.6455, 0.6688, 0.1791)
La (0.8006, 0.2410, 0.4713)
Nd (0.1195, 0.5745, 0.2957)
Nd (0.2769, 0.1349, 0.5974)
Nd (0.3613, 0.5102, 0.6151)
Nd (0.4139, 0.6989, 0.8669)
Nd (0.5342, 0.1028, 0.8870)
Nd (0.5395, 0.2905, 0.1580)
Nd (0.7126, 0.8549, 0.4313)
Nd (0.9317, 0.7889, 0.7473)
Pb (0.8419, 0.4314, 0.7168)



(7)
For Sc8Ru2Pt, the GGA-PBE geometry in Alexandria gives the computed X-ray diffraction stick pattern in this record (Cu Ka).
No peak broadening, texture or thermal motion is included.

Top 10 peaks for 2θ from 10° to 90°, in order of rising 2θ:
| index | 2θ (°) | I (rel.) |
| --- | --- | --- |
| 0 3 1 | 22.8 | 61 |
| 1 0 1 | 23.3 | 45 |
| 1 3 0 | 26.3 | 37 |
| 1 4 1 | 33.9 | 24 |
| 0 6 0 | 36.8 | 23 |
| 2 0 0 | 38.1 | 43 |
| 1 3 2 | 38.5 | 100 |
| 1 6 1 | 44.0 | 36 |
| 2 3 1 | 44.9 | 21 |
| 0 3 3 | 46.0 | 19 |

Atomic structure:
Cell: 4.7223 14.6482 6.4661 Å, 90.00 90.00 90.00°
Space group Imm2 (No. 44)
Asymmetric unit:
Sc (0.0000, 0.0000, 0.0000)
Sc (0.0000, 0.1092, 0.4181)
Sc (0.0000, 0.2917, 0.1077)
Sc (0.0000, 0.3408, 0.5718)
Sc (0.0000, 0.5000, 0.1977)
Ru (0.0000, 0.1688, 0.8046)
Pt (0.0000, 0.5000, 0.7896)



(8)
For Tl3OF, the GGA-PBE geometry in Alexandria gives the computed X-ray diffraction stick pattern in this record (Cu Ka).
No peak broadening, texture or thermal motion is included.

Top 10 peaks for 2θ from 10° to 90°, in order of rising 2θ:
| index | 2θ (°) | I (rel.) |
| --- | --- | --- |
| 4 0 -2 | 25.2 | 62 |
| 2 0 2 | 28.4 | 57 |
| 1 1 1 | 28.7 | 100 |
| 2 0 -4 | 29.5 | 44 |
| 3 1 -3 | 34.4 | 73 |
| 5 1 -1 | 42.4 | 32 |
| 1 1 -5 | 47.9 | 40 |
| 3 1 3 | 50.5 | 22 |
| 4 2 -2 | 57.7 | 16 |
| 2 2 2 | 59.4 | 15 |

Atomic structure:
Cell: 14.1332 3.5845 12.2115 Å, 90.00 122.65 90.00°
Space group C2/m (No. 12)
Asymmetric unit:
Tl (0.0703, 0.0000, 0.4035)
Tl (0.0898, 0.5000, 0.9181)
Tl (0.2279, 0.5000, 0.7539)
O (0.1126, 0.0000, 0.7911)
F (0.1073, 0.5000, 0.2877)



Q: Which formula does entry 3 have?
A: KInPb